(1)
The following is a simulated PXRD pattern of Zr2InNi6. It was derived from a cell relaxed with GGA-PBE, using CuKα.
Kinematic intensities with the Lorentz-polarization factor, no thermal factor.

Cell and atoms:
Cell lengths 5.159, 5.159, 5.718 Å; angles 90.00, 90.00, 120.00 degrees
Sites, in units of the cell vectors:
Zr: 0.333 0.667 0.315
Zr: 0.667 0.333 0.685
In: 0.000 0.000 0.500
Ni: 0.179 0.357 0.841
Ni: 0.179 0.821 0.841
Ni: 0.357 0.179 0.159
Ni: 0.643 0.821 0.841
Ni: 0.821 0.179 0.159
Ni: 0.821 0.643 0.159

Peak list (12 most intense, 10 to 90 degrees two-theta, low angle first)
Position (°2θ), I (rel.), index
25.30, 11, 1 0 1
34.78, 14, 1 1 0
37.34, 61, 1 0 2
38.28, 45, 1 1 1
43.49, 100, 0 2 1
51.95, 27, 2 0 2
52.17, 16, 0 1 3
64.04, 14, 2 1 2
64.68, 11, 3 0 1
73.41, 20, 2 2 0
75.17, 20, 1 2 3
89.37, 11, 4 0 1



(2)
The following is a simulated PXRD pattern of NpIn6. It was derived from a cell relaxed with GGA-PBE, using CuKα.
Kinematic intensities with the Lorentz-polarization factor, no thermal factor.

Cell and atoms:
Cell lengths 7.951, 7.951, 7.951 Å; angles 90.00, 90.00, 90.00 degrees
Sites, in units of the cell vectors:
Np: 0.000 0.000 0.000
Np: 0.500 0.500 0.500
In: 0.000 0.250 0.500
In: 0.000 0.500 0.250
In: 0.000 0.500 0.750
In: 0.000 0.750 0.500
In: 0.250 0.000 0.500
In: 0.250 0.500 0.000
In: 0.500 0.000 0.250
In: 0.500 0.000 0.750
In: 0.500 0.250 0.000
In: 0.500 0.750 0.000
In: 0.750 0.000 0.500
In: 0.750 0.500 0.000

Peak list (12 most intense, 10 to 90 degrees two-theta, low angle first)
Position (°2θ), I (rel.), index
22.36, 41, 2 0 0
27.48, 100, 2 1 1
39.25, 13, 2 2 2
42.54, 62, 3 2 1
45.64, 25, 4 0 0
51.40, 18, 4 2 0
54.10, 15, 3 3 2
64.16, 18, 5 2 1
66.53, 16, 4 4 0
71.15, 8, 6 0 0
73.41, 19, 6 1 1
82.24, 9, 6 3 1



(3)
The following is a simulated PXRD pattern of NpInO6. It was derived from a cell relaxed with GGA-PBE, using CuKα.
Kinematic intensities with the Lorentz-polarization factor, no thermal factor.

Cell and atoms:
Cell lengths 5.009, 5.009, 8.086 Å; angles 90.00, 90.00, 90.00 degrees
Sites, in units of the cell vectors:
Np: 0.000 0.000 0.250
Np: 0.000 0.000 0.750
In: 0.500 0.500 0.000
In: 0.500 0.500 0.500
O: 0.187 0.811 0.000
O: 0.189 0.187 0.500
O: 0.263 0.734 0.323
O: 0.263 0.734 0.677
O: 0.266 0.263 0.177
O: 0.266 0.263 0.823
O: 0.734 0.737 0.177
O: 0.734 0.737 0.823
O: 0.737 0.266 0.323
O: 0.737 0.266 0.677
O: 0.811 0.813 0.500
O: 0.813 0.189 0.000

Peak list (12 most intense, 10 to 90 degrees two-theta, low angle first)
Position (°2θ), I (rel.), index
17.71, 20, 1 0 0
25.14, 77, 1 1 0
28.37, 100, 1 0 2
35.85, 17, 2 0 0
46.33, 63, 2 1 2
51.61, 15, 2 2 0
52.09, 21, 1 1 4
58.24, 14, 3 1 0
58.69, 14, 2 0 4
59.93, 16, 3 0 2
71.85, 14, 3 2 2
76.38, 13, 3 1 4